This entry pairs a crystal structure of Cd3H4Ir with its calculated powder diffraction line list. Radiation: CuKα. Structure: the PBE geometry in Alexandria.
Neutral-atom scattering factors, no anomalous dispersion.

Main lines, in order of rising 2θ (2θ from 10° to 90°):
d/Å, Position (°2θ), I/Imax
4.162, 21.35, 146
3.928, 22.64, 790
2.454, 36.62, 300
2.356, 38.21, 1000
2.311, 38.98, 255
2.081, 43.49, 286
1.797, 50.82, 259
1.618, 56.89, 91
1.397, 66.99, 185
1.351, 69.58, 91
1.235, 77.26, 97
1.178, 81.77, 89

Structural model:
```
data_Cd3H4Ir
_chemical_formula_sum 'Cd6 H8 Ir2'
_cell_length_a 4.907
_cell_length_b 5.715
_cell_length_c 7.856
_cell_angle_alpha 90.00
_cell_angle_beta 90.00
_cell_angle_gamma 90.00
_symmetry_space_group_name_H-M 'I m m 2'
_symmetry_Int_Tables_number 44
loop_
_symmetry_equiv_pos_as_xyz
'x,y,z'
'-x,-y,z'
'-x,y,z'
'x,-y,z'
'x+1/2,y+1/2,z+1/2'
'-x+1/2,-y+1/2,z+1/2'
'-x+1/2,y+1/2,z+1/2'
'x+1/2,-y+1/2,z+1/2'
loop_
_atom_site_label
_atom_site_fract_x
_atom_site_fract_y
_atom_site_fract_z
Cd1 0.000 0.000 0.000
Cd2 0.000 0.250 0.398
H1 0.000 0.337 0.776
H2 0.208 0.500 0.112
Ir1 0.000 0.500 0.948
```

---

This entry pairs a crystal structure of Na12AlTl6 with its calculated powder diffraction line list. Radiation: CuKα. Structure: the PBE geometry in Alexandria.
Neutral-atom scattering factors, no anomalous dispersion.

Main lines, in order of rising 2θ (2θ from 10° to 90°):
d/Å, Position (°2θ), I/Imax
8.261, 10.71, 475
5.922, 14.96, 427
5.764, 15.37, 451
4.904, 18.09, 339
4.130, 21.51, 604
3.735, 23.82, 664
3.655, 24.35, 355
2.721, 32.92, 1000
2.634, 34.04, 603
2.591, 34.62, 509
2.535, 35.42, 239
2.256, 39.96, 239

Structural model:
```
data_Na12AlTl6
_chemical_formula_sum 'Na36 Al3 Tl18'
_cell_length_a 11.5276
_cell_length_b 11.5276
_cell_length_c 14.7105
_cell_angle_alpha 90.00
_cell_angle_beta 90.00
_cell_angle_gamma 120.00
_symmetry_space_group_name_H-M 'R -3'
_symmetry_Int_Tables_number 148
_symmetry_space_group_name_Hall '-R 3'
loop_
_atom_site_label
_atom_site_fract_x
_atom_site_fract_y
_atom_site_fract_z
Na1 0.0411 0.1893 0.3140
Na2 0.0598 0.8398 0.9120
Al1 0.0000 0.0000 0.5000
Tl1 0.0418 0.4457 0.2122
```

---

This entry pairs a crystal structure of BaGa2ReSn with its calculated powder diffraction line list. Radiation: CuKα. Structure: the PBE geometry in Alexandria.
Neutral-atom scattering factors, no anomalous dispersion.

Main lines, in order of rising 2θ (2θ from 10° to 90°):
d/Å, Position (°2θ), I/Imax
4.978, 17.82, 494
3.593, 24.78, 583
3.520, 25.30, 611
2.914, 30.68, 428
2.596, 34.55, 562
2.489, 36.08, 1000
2.089, 43.30, 298
2.046, 44.27, 244
1.797, 50.82, 753
1.760, 51.95, 353
1.457, 63.90, 379
1.122, 86.79, 202

Structural model:
```
data_BaGa2ReSn
_chemical_formula_sum 'Ba1 Ga2 Re1 Sn1'
_cell_length_a 4.978
_cell_length_b 4.978
_cell_length_c 5.192
_cell_angle_alpha 90.00
_cell_angle_beta 90.00
_cell_angle_gamma 90.00
_symmetry_space_group_name_H-M 'P 4/m m m'
_symmetry_Int_Tables_number 123
_symmetry_space_group_name_Hall '-P 4 2'
loop_
_atom_site_label
_atom_site_fract_x
_atom_site_fract_y
_atom_site_fract_z
Ba1 0.000 0.000 0.000
Ga1 0.000 0.500 0.500
Re1 0.500 0.500 0.500
Sn1 0.500 0.500 0.000
```

---

This entry pairs a crystal structure of CeTl2ZnS4 with its calculated powder diffraction line list. Radiation: CuKα. Structure: the PBE geometry in Alexandria.
Neutral-atom scattering factors, no anomalous dispersion.

Main lines, in order of rising 2θ (2θ from 10° to 90°):
d/Å, Position (°2θ), I/Imax
3.429, 25.99, 987
3.414, 26.10, 1000
3.069, 29.09, 851
3.004, 29.74, 817
2.831, 31.60, 630
2.147, 42.09, 606
2.088, 43.34, 261
2.075, 43.63, 242
2.060, 43.94, 514
1.805, 50.58, 365
1.714, 53.44, 285
1.707, 53.69, 260

Structural model:
```
data_CeTl2ZnS4
_chemical_formula_sum 'Ce4 Tl8 Zn4 S16'
_cell_length_a 11.326
_cell_length_b 12.016
_cell_length_c 8.326
_cell_angle_alpha 90.00
_cell_angle_beta 132.50
_cell_angle_gamma 90.00
_symmetry_space_group_name_H-M 'C 1 2/c 1'
_symmetry_Int_Tables_number 15
loop_
_symmetry_equiv_pos_as_xyz
'x,y,z'
'-x,-y,-z'
'-x,y,-z+1/2'
'x,-y,z+1/2'
'x+1/2,y+1/2,z'
'-x+1/2,-y+1/2,-z'
'-x+1/2,y+1/2,-z+1/2'
'x+1/2,-y+1/2,z+1/2'
loop_
_atom_site_label
_atom_site_fract_x
_atom_site_fract_y
_atom_site_fract_z
Ce1 0.250 0.250 0.000
Tl1 0.000 0.000 0.000
Tl2 0.250 0.250 0.500
Zn1 0.000 0.500 0.000
S1 0.012 0.255 0.551
S2 0.203 0.482 0.996
```

---

This entry pairs a crystal structure of Tb7TmCd2 with its calculated powder diffraction line list. Radiation: CuKα. Structure: the PBE geometry in Alexandria.
Neutral-atom scattering factors, no anomalous dispersion.

Main lines, in order of rising 2θ (2θ from 10° to 90°):
d/Å, Position (°2θ), I/Imax
7.784, 11.37, 206
5.217, 17.00, 362
4.334, 20.49, 229
3.393, 26.27, 231
3.158, 28.26, 484
2.966, 30.13, 646
2.608, 34.38, 500
2.595, 34.56, 1000
2.552, 35.16, 692
1.959, 46.35, 397
1.492, 62.23, 258
1.457, 63.89, 230

Structural model:
```
data_Tb7TmCd2
_chemical_formula_sum 'Tb14 Tm2 Cd4'
_cell_length_a 8.932
_cell_length_b 15.874
_cell_length_c 5.217
_cell_angle_alpha 90.00
_cell_angle_beta 90.00
_cell_angle_gamma 90.00
_symmetry_space_group_name_H-M 'C m m m'
_symmetry_Int_Tables_number 65
_symmetry_space_group_name_Hall '-C 2 2'
loop_
_atom_site_label
_atom_site_fract_x
_atom_site_fract_y
_atom_site_fract_z
Tb1 0.000 0.000 0.000
Tb2 0.000 0.279 0.500
Tb3 0.182 0.384 0.000
Tm1 0.000 0.500 0.500
Cd1 0.000 0.196 0.000
```

---

This entry pairs a crystal structure of Er3Al3Zn2 with its calculated powder diffraction line list. Radiation: CuKα. Structure: the PBE geometry in Alexandria.
Neutral-atom scattering factors, no anomalous dispersion.

Main lines, in order of rising 2θ (2θ from 10° to 90°):
d/Å, Position (°2θ), I/Imax
3.919, 22.69, 265
3.575, 24.91, 425
3.555, 25.05, 218
2.719, 32.94, 1000
2.698, 33.21, 636
2.588, 34.65, 184
2.437, 36.88, 205
2.392, 37.61, 405
2.206, 40.91, 370
2.195, 41.12, 251
1.662, 55.26, 240
1.636, 56.24, 228

Structural model:
```
data_Er3Al3Zn2
_chemical_formula_sum 'Er12 Al12 Zn8'
_cell_length_a 4.411
_cell_length_b 10.520
_cell_length_c 14.622
_cell_angle_alpha 90.00
_cell_angle_beta 90.00
_cell_angle_gamma 90.00
_symmetry_space_group_name_H-M 'C m c m'
_symmetry_Int_Tables_number 63
_symmetry_space_group_name_Hall '-C 2c 2'
loop_
_atom_site_label
_atom_site_fract_x
_atom_site_fract_y
_atom_site_fract_z
Er1 0.000 0.088 0.111
Er2 0.000 0.360 0.250
Al1 0.000 0.347 0.750
Al2 0.000 0.385 0.039
Zn1 0.000 0.207 0.601
```

---

This entry pairs a crystal structure of Al2Hg3Cl8 with its calculated powder diffraction line list. Radiation: CuKα. Structure: the PBE geometry in Alexandria.
Neutral-atom scattering factors, no anomalous dispersion.

Main lines, in order of rising 2θ (2θ from 10° to 90°):
d/Å, Position (°2θ), I/Imax
6.993, 12.66, 184
6.602, 13.41, 446
5.369, 16.51, 1000
4.865, 18.23, 203
4.805, 18.47, 509
4.644, 19.11, 183
3.353, 26.58, 392
3.235, 27.58, 189
3.027, 29.51, 181
3.001, 29.78, 282
2.340, 38.47, 230
1.932, 47.05, 197

Structural model:
```
data_Al2Hg3Cl8
_chemical_formula_sum 'Al8 Hg12 Cl32'
_cell_length_a 7.304
_cell_length_b 15.943
_cell_length_c 14.712
_cell_angle_alpha 90.00
_cell_angle_beta 98.09
_cell_angle_gamma 90.00
_symmetry_space_group_name_H-M 'P 1 21/c 1'
_symmetry_Int_Tables_number 14
loop_
_symmetry_equiv_pos_as_xyz
'x,y,z'
'-x,-y,-z'
'-x,y+1/2,-z+1/2'
'x,-y+1/2,z+1/2'
loop_
_atom_site_label
_atom_site_fract_x
_atom_site_fract_y
_atom_site_fract_z
Al1 0.102 0.182 0.091
Al2 0.304 0.597 0.781
Hg1 0.126 0.533 0.198
Hg2 0.304 0.643 0.107
Hg3 0.482 0.739 0.529
Cl1 0.020 0.580 0.707
Cl2 0.097 0.191 0.540
Cl3 0.145 0.613 0.457
Cl4 0.171 0.174 0.237
Cl5 0.319 0.522 0.903
Cl6 0.327 0.119 0.029
Cl7 0.340 0.728 0.811
Cl8 0.496 0.558 0.692
```